Starting from a DFT-relaxed cell (PBE, OQMD), the powder diffractogram of AgTe3I was calculated for Cu Kα (λ = 1.5418 Å).

Structure:
```
AgTe3I
1.0
16.4336 0.0000 0.0000
0.0000 4.8364 0.0000
0.0000 0.0000 8.8656
Ag Te I
4 12 4
direct
0.2500 0.2019 0.2500
0.2500 0.7981 0.7500
0.7500 0.2019 0.2500
0.7500 0.7981 0.7500
0.0000 0.1310 0.2160
0.0000 0.8690 0.7840
0.1262 0.1415 0.6390
0.1262 0.8585 0.3610
0.3738 0.1415 0.8610
0.3738 0.8585 0.1390
0.5000 0.1310 0.2840
0.5000 0.8690 0.7160
0.6262 0.1415 0.8610
0.6262 0.8585 0.1390
0.8738 0.1415 0.6390
0.8738 0.8585 0.3610
0.1735 0.5000 0.0000
0.3265 0.5000 0.5000
0.6735 0.5000 0.5000
0.8265 0.5000 0.0000
```

Most intense lines, 10° ≤ 2θ ≤ 90°, in order of rising 2θ:
h k l, two_theta, I (rel.)
1 1 1, 21.62, 26
3 1 1, 26.56, 55
0 1 2, 27.29, 38
1 1 2, 27.84, 31
4 0 2, 29.65, 23
4 1 1, 30.27, 100
3 0 3, 34.48, 37
4 2 1, 44.67, 39